Diffraction record for LiZn4Fe13O24. The powder diffractogram is theoretical, not measured: it uses the GGA+U geometry in Alexandria and Cu Kα.

Main lines, sorted by position (15° ≤ 2θ ≤ 90°):
2θ (°)  d (Å)  Rel. int.  h k l
18.02  4.923  44  1 1 1
34.84  2.575  100  3 1 -3
34.95  2.568  89  1 1 -5
42.34  2.135  39  2 2 -4
55.95  1.643  40  1 3 -5
61.49  1.508  48  4 0 -8

Cell and atoms:
```
data_LiZn4Fe13O24
_space_group_name_H-M_alt 'C 1 m 1'
_space_group_IT_number 8
_space_group_name_Hall 'C -2y'
_cell_length_a 10.4421
_cell_length_b 6.0476
_cell_length_c 14.7241
_cell_angle_alpha 90.00
_cell_angle_beta 90.24
_cell_angle_gamma 90.00
loop_
_atom_site_label
_atom_site_type_symbol
_atom_site_fract_x
_atom_site_fract_y
_atom_site_fract_z
_atom_site_occupancy
Li1 Li 0.0000 0.0000 0.0000 1
Zn1 Zn 0.0029 0.0000 0.6290 1
Zn2 Zn 0.1676 0.0000 0.4616 1
Zn3 Zn 0.3304 0.0000 0.2941 1
Zn4 Zn 0.3405 0.5000 0.7968 1
Fe1 Fe 0.9997 0.5000 0.1254 1
Fe2 Fe 0.0891 0.2435 0.7956 1
Fe3 Fe 0.1648 0.5000 0.5867 1
Fe4 Fe 0.1659 0.5000 0.9641 1
Fe5 Fe 0.1690 0.5000 0.3400 1
Fe6 Fe 0.2440 0.2522 0.1261 1
Fe7 Fe 0.3357 0.0000 0.9198 1
Fe8 Fe 0.3424 0.0000 0.6700 1
Fe9 Fe 0.4176 0.2503 0.4612 1
Fe10 Fe 0.4956 0.5000 0.2495 1
O1 O 0.0116 0.0000 0.8646 1
O2 O 0.0162 0.5000 0.8795 1
O3 O 0.0781 0.2430 0.5401 1
O4 O 0.0874 0.2729 0.0506 1
O5 O 0.1646 0.5000 0.2083 1
O6 O 0.1689 0.5000 0.7189 1
O7 O 0.1702 0.0000 0.2055 1
O8 O 0.1703 0.0000 0.7160 1
O9 O 0.2461 0.2573 0.8788 1
O10 O 0.2574 0.2423 0.3810 1
O11 O 0.3094 0.5000 0.0465 1
O12 O 0.3300 0.0000 0.0526 1
O13 O 0.3406 0.5000 0.5388 1
O14 O 0.3424 0.0000 0.5382 1
O15 O 0.4094 0.2397 0.2039 1
O16 O 0.4311 0.2512 0.7149 1
O17 O 0.4923 0.5000 0.3807 1
O18 O 0.4927 0.0000 0.3824 1
```